The following is a theoretical PXRD pattern of UTiTe2N. It was derived from a structure optimized by DFT (PBE), using copper Kα.
Neutral-atom scattering factors, no anomalous dispersion.

Most intense lines, 2θ from 5° to 70°, low angle first:
2θ (°), Rel. int., (hkl)
6.21, 719, 0 0 1
29.83, 1000, 1 0 3
32.79, 784, 1 1 0
34.27, 637, 1 0 4
41.69, 119, 1 1 4
47.05, 316, 2 0 0
50.75, 97, 1 0 7
51.00, 154, 1 1 6
56.42, 170, 1 1 7
56.72, 342, 2 1 3
59.49, 261, 2 1 4
68.74, 101, 2 2 0

Atomic structure:
```
UTiTe2N
1.0
3.8624 0.0000 0.0000
0.0000 3.8624 0.0000
0.0000 0.0000 14.2312
U Ti Te N
2 2 4 2
direct
0.2500 0.2500 0.0815
0.7500 0.7500 0.9185
0.2500 0.2500 0.5736
0.7500 0.7500 0.4264
0.2500 0.2500 0.3791
0.2500 0.2500 0.7928
0.7500 0.7500 0.2072
0.7500 0.7500 0.6209
0.2500 0.7500 0.0000
0.7500 0.2500 0.0000
```